1.
Starting from the PBE geometry in the Materials Project, the X-ray powder pattern of Sm2InNi2 was calculated for Cu Kα (λ = 1.5418 Å).

Largest 10 diffraction maxima, by angle, 15° ≤ 2θ ≤ 90°:
2θ (°), Rel. int.
26.41, 19
33.59, 16
33.76, 58
35.85, 100
37.70, 45
48.72, 17
49.83, 15
55.94, 17
57.38, 18
63.20, 19

Crystal structure
```
data_Sm2InNi2
_chemical_formula_sum 'Sm4 In2 Ni4'
_cell_length_a 7.5456
_cell_length_b 7.5456
_cell_length_c 3.7378
_cell_angle_alpha 90.00
_cell_angle_beta 90.00
_cell_angle_gamma 90.00
_symmetry_space_group_name_H-M 'P 1'
_symmetry_Int_Tables_number 1
_symmetry_space_group_name_Hall 'P 1'
loop_
_atom_site_label
_atom_site_type_symbol
_atom_site_fract_x
_atom_site_fract_y
_atom_site_fract_z
Sm1 Sm 0.1746 0.3254 0.0000
Sm2 Sm 0.3254 0.8254 0.0000
Sm3 Sm 0.6746 0.1746 0.0000
Sm4 Sm 0.8254 0.6746 0.0000
In1 In 0.0000 0.0000 0.5000
In2 In 0.5000 0.5000 0.5000
Ni1 Ni 0.1187 0.6187 0.5000
Ni2 Ni 0.3813 0.1187 0.5000
Ni3 Ni 0.6187 0.8813 0.5000
Ni4 Ni 0.8813 0.3813 0.5000
```


2.
Starting from the PBE geometry in the Materials Project, the X-ray powder pattern of Sm2In3Ni was calculated for Cu Kα (λ = 1.5418 Å).

Largest 10 diffraction maxima, by angle, 15° ≤ 2θ ≤ 90°:
2θ (°), Rel. int.
32.18, 100
37.75, 61
48.34, 11
50.42, 25
62.91, 26
64.63, 16
64.75, 6
68.10, 7
79.86, 5
87.85, 7

Crystal structure
```
data_Sm2In3Ni
_chemical_formula_sum 'Sm2 In3 Ni1'
_cell_length_a 3.7657
_cell_length_b 4.7729
_cell_length_c 8.2424
_cell_angle_alpha 90.00
_cell_angle_beta 90.00
_cell_angle_gamma 90.00
_symmetry_space_group_name_H-M 'P 1'
_symmetry_Int_Tables_number 1
_symmetry_space_group_name_Hall 'P 1'
loop_
_atom_site_label
_atom_site_type_symbol
_atom_site_fract_x
_atom_site_fract_y
_atom_site_fract_z
Sm1 Sm 0.0000 0.0000 0.0000
Sm2 Sm 0.0000 0.5000 0.4565
In1 In 0.5000 0.0000 0.6149
In2 In 0.5000 0.5000 0.1538
In3 In 0.5000 0.5000 0.8061
Ni1 Ni 0.5000 0.0000 0.2952
```


3.
Starting from the PBE geometry in the Materials Project, the X-ray powder pattern of InNi2Sn was calculated for Cu Kα (λ = 1.5418 Å).

Largest 10 diffraction maxima, by angle, 15° ≤ 2θ ≤ 90°:
2θ (°), Rel. int.
28.05, 28
28.16, 58
34.08, 49
34.34, 24
39.82, 39
40.72, 54
44.63, 52
44.91, 100
54.11, 27
85.93, 25

Crystal structure
```
data_InNi2Sn
_chemical_formula_sum 'In3 Ni6 Sn3'
_cell_length_a 4.4319
_cell_length_b 5.2225
_cell_length_c 9.1359
_cell_angle_alpha 90.00
_cell_angle_beta 90.00
_cell_angle_gamma 90.00
_symmetry_space_group_name_H-M 'P 1'
_symmetry_Int_Tables_number 1
_symmetry_space_group_name_Hall 'P 1'
loop_
_atom_site_label
_atom_site_type_symbol
_atom_site_fract_x
_atom_site_fract_y
_atom_site_fract_z
In1 In 0.0000 0.0000 0.0000
In2 In 0.0000 0.0000 0.3310
In3 In 0.0000 0.5000 0.4978
Ni1 Ni 0.5000 0.0000 0.1652
Ni2 Ni 0.5000 0.2502 0.4152
Ni3 Ni 0.5000 0.2516 0.9140
Ni4 Ni 0.5000 0.5000 0.6658
Ni5 Ni 0.5000 0.7484 0.9140
Ni6 Ni 0.5000 0.7498 0.4152
Sn1 Sn 0.0000 0.5000 0.8313
Sn2 Sn 0.5000 0.0000 0.6628
Sn3 Sn 0.5000 0.5000 0.1666
```


4.
Starting from the PBE geometry in the Materials Project, the X-ray powder pattern of SrIn4Ni was calculated for Cu Kα (λ = 1.5418 Å).

Largest 10 diffraction maxima, by angle, 15° ≤ 2θ ≤ 90°:
2θ (°), Rel. int.
31.49, 100
31.82, 14
32.59, 69
33.49, 17
34.83, 33
39.53, 39
39.69, 32
40.85, 13
41.82, 21
57.27, 21

Crystal structure
```
data_SrIn4Ni
_chemical_formula_sum 'Sr2 In8 Ni2'
_cell_length_a 8.9024
_cell_length_b 8.9024
_cell_length_c 7.4316
_cell_angle_alpha 90.00
_cell_angle_beta 90.00
_cell_angle_gamma 150.33
_symmetry_space_group_name_H-M 'P 1'
_symmetry_Int_Tables_number 1
_symmetry_space_group_name_Hall 'P 1'
loop_
_atom_site_label
_atom_site_type_symbol
_atom_site_fract_x
_atom_site_fract_y
_atom_site_fract_z
Sr1 Sr 0.1214 0.8786 0.7500
Sr2 Sr 0.8786 0.1214 0.2500
In1 In 0.0755 0.9245 0.2500
In2 In 0.3103 0.6897 0.5502
In3 In 0.3103 0.6897 0.9498
In4 In 0.5000 0.5000 0.0000
In5 In 0.5000 0.5000 0.5000
In6 In 0.6897 0.3103 0.0502
In7 In 0.6897 0.3103 0.4498
In8 In 0.9245 0.0755 0.7500
Ni1 Ni 0.2259 0.7741 0.2500
Ni2 Ni 0.7741 0.2259 0.7500
```